# 1
The following is a simulated powder XRD pattern of Dy2Sn5Rh3. It was derived from the PBE geometry in the Materials Project, using copper Kα.
No peak broadening, texture or thermal motion is included.

Structure:
```
20
Lattice="2.199 -13.275 0.000 2.199 13.275 0.000 0.000 0.000 7.335" Properties=species:S:1:pos:R:3 pbc="T T T"
Dy 2.199 12.636 3.667
Dy 2.199 4.592 3.804
Dy 2.199 -4.592 0.137
Dy 2.199 -12.636 0.000
Sn 2.199 10.718 6.438
Sn 2.199 7.842 2.299
Sn 2.199 7.716 5.432
Sn 2.199 3.172 7.290
Sn 2.199 1.266 4.846
Sn 2.199 -1.266 1.178
Sn 2.199 -3.172 3.622
Sn 2.199 -7.716 1.765
Sn 2.199 -7.842 5.966
Sn 2.199 -10.718 2.771
Rh 2.199 10.465 1.802
Rh 2.199 5.933 0.207
Rh 2.199 1.332 2.070
Rh 2.199 -1.332 5.737
Rh 2.199 -5.933 3.875
Rh 2.199 -10.465 5.469
```

Main lines, most intense first (10° ≤ 2θ ≤ 80°):
33.4 deg, d = 2.684 Å, intensity 100; 33.5 deg, d = 2.675 Å, intensity 75; 41.0 deg, d = 2.199 Å, intensity 44; 36.0 deg, d = 2.496 Å, intensity 26; 36.7 deg, d = 2.450 Å, intensity 21; 63.0 deg, d = 1.476 Å, intensity 20; 39.3 deg, d = 2.294 Å, intensity 19; 44.5 deg, d = 2.037 Å, intensity 15; 55.7 deg, d = 1.650 Å, intensity 15; 69.9 deg, d = 1.346 Å, intensity 15

***

# 2
The following is a simulated powder XRD pattern of DySnRh. It was derived from the PBE geometry in the Materials Project, using copper Kα.
No peak broadening, texture or thermal motion is included.

Structure:
```
9
Lattice="7.585 0.000 0.000 -3.793 6.569 0.000 0.000 0.000 3.856" Properties=species:S:1:pos:R:3 pbc="T T T"
Dy -2.242 3.883 0.000
Dy 1.551 2.686 0.000
Dy 4.483 0.000 0.000
Sn -0.983 1.702 1.928
Sn 1.966 0.000 1.928
Sn 2.810 4.867 1.928
Rh 0.000 0.000 0.000
Rh 0.000 4.379 1.928
Rh 3.793 2.190 1.928
```

Main lines, most intense first (10° ≤ 2θ ≤ 80°):
33.1 deg, d = 2.704 Å, intensity 100; 35.9 deg, d = 2.500 Å, intensity 87; 36.2 deg, d = 2.483 Å, intensity 48; 41.2 deg, d = 2.190 Å, intensity 36; 66.6 deg, d = 1.404 Å, intensity 32; 47.1 deg, d = 1.928 Å, intensity 23; 60.8 deg, d = 1.523 Å, intensity 22; 43.3 deg, d = 2.088 Å, intensity 20; 64.4 deg, d = 1.447 Å, intensity 19; 55.8 deg, d = 1.647 Å, intensity 17

***

# 3
The following is a simulated powder XRD pattern of DySnRh2. It was derived from the PBE geometry in the Materials Project, using copper Kα.
No peak broadening, texture or thermal motion is included.

Structure:
```
4
Lattice="0.000 3.330 3.330 3.330 0.000 3.330 3.330 3.330 0.000" Properties=species:S:1:pos:R:3 pbc="T T T"
Dy 0.000 0.000 0.000
Sn 3.330 3.330 3.330
Rh 1.665 1.665 1.665
Rh 4.995 4.995 4.995
```

Main lines, most intense first (10° ≤ 2θ ≤ 80°):
38.2 deg, d = 2.355 Å, intensity 100; 69.1 deg, d = 1.360 Å, intensity 35; 55.2 deg, d = 1.665 Å, intensity 17; 26.8 deg, d = 3.330 Å, intensity 2; 23.1 deg, d = 3.845 Å, intensity 2; 62.3 deg, d = 1.489 Å, intensity 1; 47.3 deg, d = 1.923 Å, intensity 1; 45.1 deg, d = 2.008 Å, intensity 1

***

# 4
The following is a simulated powder XRD pattern of TbDyRh2. It was derived from the PBE geometry in the Materials Project, using copper Kα.
No peak broadening, texture or thermal motion is included.

Structure:
```
4
Lattice="0.000 3.437 3.437 3.437 0.000 3.437 3.437 3.437 0.000" Properties=species:S:1:pos:R:3 pbc="T T T"
Tb 0.000 0.000 0.000
Dy 3.437 3.437 3.437
Rh 1.719 1.719 1.719
Rh 5.156 5.156 5.156
```

Main lines, most intense first (10° ≤ 2θ ≤ 80°):
37.0 deg, d = 2.430 Å, intensity 100; 66.7 deg, d = 1.403 Å, intensity 35; 53.3 deg, d = 1.719 Å, intensity 17; 78.7 deg, d = 1.215 Å, intensity 11; 25.9 deg, d = 3.437 Å, intensity 5; 60.2 deg, d = 1.537 Å, intensity 2; 45.7 deg, d = 1.984 Å, intensity 2

***

# 5
The following is a simulated powder XRD pattern of DyTlRh2. It was derived from the PBE geometry in the Materials Project, using copper Kα.
No peak broadening, texture or thermal motion is included.

Structure:
```
4
Lattice="0.000 3.352 3.352 3.352 0.000 3.352 3.352 3.352 0.000" Properties=species:S:1:pos:R:3 pbc="T T T"
Dy 0.000 0.000 0.000
Tl 3.352 3.352 3.352
Rh 1.676 1.676 1.676
Rh 5.028 5.028 5.028
```

Main lines, most intense first (10° ≤ 2θ ≤ 80°):
38.0 deg, d = 2.370 Å, intensity 100; 68.6 deg, d = 1.369 Å, intensity 35; 54.8 deg, d = 1.676 Å, intensity 17; 26.6 deg, d = 3.352 Å, intensity 8; 61.9 deg, d = 1.499 Å, intensity 4; 46.9 deg, d = 1.935 Å, intensity 3; 23.0 deg, d = 3.871 Å, intensity 1; 44.8 deg, d = 2.022 Å, intensity 1

***

# 6
The following is a simulated powder XRD pattern of DyZnRh2. It was derived from the PBE geometry in the Materials Project, using copper Kα.
No peak broadening, texture or thermal motion is included.

Structure:
```
4
Lattice="0.000 3.234 3.234 3.234 0.000 3.234 3.234 3.234 0.000" Properties=species:S:1:pos:R:3 pbc="T T T"
Dy 0.000 0.000 0.000
Zn 3.234 3.234 3.234
Rh 1.617 1.617 1.617
Rh 4.851 4.851 4.851
```

Main lines, most intense first (10° ≤ 2θ ≤ 80°):
39.4 deg, d = 2.287 Å, intensity 100; 71.5 deg, d = 1.320 Å, intensity 34; 57.0 deg, d = 1.617 Å, intensity 17; 23.8 deg, d = 3.734 Å, intensity 10; 46.6 deg, d = 1.950 Å, intensity 5; 62.6 deg, d = 1.484 Å, intensity 2; 76.5 deg, d = 1.245 Å, intensity 2